Calculated XRD peak list of LiMn2S4 for Cu Ka, from a DFT-relaxed cell (PBE, the Materials Project).
No peak broadening, texture or thermal motion is included.

Most intense lines, 10 to 90 degrees two-theta, by angle:
index, Position (°2θ), d/Å, I (rel.)
1 1 1, 15.56, 5.696, 100
3 1 1, 30.04, 2.974, 37
4 0 0, 36.43, 2.466, 98
5 1 1, 47.92, 1.899, 27
4 4 0, 52.47, 1.744, 64
5 3 1, 55.07, 1.668, 17
4 4 4, 65.56, 1.424, 18
5 5 1, 67.85, 1.381, 11
8 0 0, 77.39, 1.233, 9
8 4 0, 88.69, 1.103, 22

Crystal structure
Cell lengths 9.865, 9.865, 9.865 Å; angles 90.00, 90.00, 90.00 degrees
Space group Fd-3m (No. 227, origin choice 2)
Inequivalent atoms, fractional coordinates:
Li (0.125, 0.125, 0.125) [8 per cell]
Mn (0.000, 0.000, 0.500) [16 per cell]
S (0.012, 0.012, 0.738) [32 per cell]